Structure and computed X-ray powder pattern of Cs2CoSiO4 (a cell relaxed with GGA+U; Cu Kα (λ = 1.5418 Å)).
Neutral-atom scattering factors, no anomalous dispersion.

Largest 10 diffraction maxima, low angle first, 10 to 80 degrees two-theta:
Position (°2θ)	d_spacing	intensity
27.34	3.262	52
27.98	3.189	100
29.92	2.987	19
30.36	2.944	36
35.58	2.523	29
47.35	1.920	18
47.46	1.915	14
52.50	1.743	17
53.89	1.701	13
59.72	1.548	12

Structure:
a b c (Å): 7.054 7.054 8.232
angles (deg): 90.00 90.00 130.67
Sites, in units of the cell vectors:
Cs: 0.078 0.922 0.500
Cs: 0.407 0.593 0.358
Cs: 0.593 0.407 0.858
Cs: 0.922 0.078 0.000
Co: 0.207 0.793 0.080
Co: 0.793 0.207 0.580
Si: 0.301 0.699 0.795
Si: 0.699 0.301 0.295
O: 0.110 0.434 0.694
O: 0.174 0.826 0.837
O: 0.354 0.646 0.981
O: 0.434 0.110 0.194
O: 0.566 0.890 0.694
O: 0.646 0.354 0.481
O: 0.826 0.174 0.337
O: 0.890 0.566 0.194